# Li9Mn2Co5O16
Calculated powder XRD pattern, copper Kα. Input: a DFT-relaxed cell (GGA+U, the Materials Project).
Peak positions follow from Bragg's law for the DFT cell and can differ from measured ones.

Most intense lines, 15° ≤ 2θ ≤ 90°, by angle:
18.36°, rel. 100, (4 0 0)
35.41°, rel. 15, (2 0 -4)
36.13°, rel. 25, (1 1 2)
37.62°, rel. 7, (3 1 -2)
42.86°, rel. 28, (6 0 -4)
43.83°, rel. 54, (5 1 2)
47.59°, rel. 13, (7 1 -2)
57.77°, rel. 10, (9 1 2)
62.90°, rel. 14, (11 1 -2)
63.04°, rel. 14, (1 1 -6)
63.24°, rel. 7, (10 0 4)
64.19°, rel. 7, (0 2 0)

Structure:
a = 19.4323 Å, b = 2.9018 Å, c = 10.2735 Å
α = 90.00°, β = 95.90°, γ = 90.00°
Space group Cm (No. 8)
Inequivalent atoms, fractional coordinates:
Li (0.0000, 0.0000, 0.0000) (multiplicity 2)
Li (0.0004, 0.5000, 0.2385) (multiplicity 2)
Li (0.0021, 0.5000, 0.7456) (multiplicity 2)
Li (0.0067, 0.0000, 0.4834) (multiplicity 2)
Li (0.1245, 0.5000, 0.4317) (multiplicity 2)
Li (0.2396, 0.0000, 0.3678) (multiplicity 2)
Li (0.2411, 0.5000, 0.6129) (multiplicity 2)
Li (0.2421, 0.5000, 0.1187) (multiplicity 2)
Li (0.2471, 0.0000, 0.8744) (multiplicity 2)
Mn (0.1244, 0.0000, 0.6742) (multiplicity 2)
Mn (0.3730, 0.0000, 0.5561) (multiplicity 2)
Co (0.1180, 0.0000, 0.2005) (multiplicity 2)
Co (0.1231, 0.5000, 0.9372) (multiplicity 2)
Co (0.3718, 0.0000, 0.0559) (multiplicity 2)
Co (0.3726, 0.5000, 0.3030) (multiplicity 2)
Co (0.3735, 0.5000, 0.8093) (multiplicity 2)
O (0.0601, 0.0000, 0.3267) (multiplicity 2)
O (0.0657, 0.5000, 0.0860) (multiplicity 2)
O (0.0664, 0.5000, 0.5989) (multiplicity 2)
O (0.0674, 0.0000, 0.8317) (multiplicity 2)
O (0.1790, 0.5000, 0.7673) (multiplicity 2)
O (0.1806, 0.0000, 0.0178) (multiplicity 2)
O (0.1806, 0.0000, 0.5403) (multiplicity 2)
O (0.1812, 0.5000, 0.2666) (multiplicity 2)
O (0.3132, 0.5000, 0.9656) (multiplicity 2)
O (0.3160, 0.5000, 0.4785) (multiplicity 2)
O (0.3171, 0.0000, 0.2183) (multiplicity 2)
O (0.3228, 0.0000, 0.7132) (multiplicity 2)
O (0.4239, 0.0000, 0.4010) (multiplicity 2)
O (0.4288, 0.0000, 0.8934) (multiplicity 2)
O (0.4302, 0.5000, 0.1423) (multiplicity 2)
O (0.4298, 0.5000, 0.6336) (multiplicity 2)